Theoretical powder diffraction line list
Compound: LiCrCSO7
Radiation: Cu Kα (weighted mean of Kα1 and Kα2)
Structure: a structure optimized by DFT (PBE+U)

Main lines, by angle (5 to 70 degrees two-theta):
two_theta  Rel. int.  index
9.26  100  0 0 1
16.73  39  0 1 1
18.92  31  1 0 -1
19.81  35  1 0 1
24.29  13  1 1 1
24.58  24  1 0 -2
28.02  37  0 2 0
29.57  14  0 2 1
36.68  11  1 1 3
43.66  12  2 0 -3

Unit cell a=5.2303 b=6.3688 c=9.5600 alpha=90.00 beta=93.10 gamma=90.00
Space group P2_1 (No. 4)
Inequivalent atoms, fractional coordinates:
Li: 0.2453 0.0000 0.1220 x2
Cr: 0.2798 0.3470 0.6501 x2
C: 0.2293 0.3089 0.8998 x2
S: 0.2285 0.8466 0.5697 x2
O: 0.0373 0.3425 0.8049 x2
O: 0.0508 0.3429 0.4717 x2
O: 0.1998 0.2561 0.0227 x2
O: 0.2899 0.0308 0.6593 x2
O: 0.2953 0.6625 0.6598 x2
O: 0.3743 0.8481 0.4411 x2
O: 0.4527 0.3342 0.8427 x2